Entry 1:
This entry pairs a crystal structure of Pr2Dy2CBr5 with its theoretical powder diffractogram. Radiation: Cu Kα X-rays. Structure: a DFT-relaxed cell (PBE, OQMD).
Peak positions follow from Bragg's law for the DFT cell and can differ from measured ones.

Peak list (6 most intense, 2θ = 10–80°, sorted by position)
2θ 10.67, I 63, hkl 0 0 1
2θ 30.39, I 38, hkl 6 0 0
2θ 31.00, I 100, hkl 1 1 -2
2θ 34.13, I 33, hkl 5 1 0
2θ 43.74, I 24, hkl 5 1 2
2θ 44.18, I 24, hkl 7 1 -2

Structure:
Cell: 18.0983 3.9283 8.5030 Å, 90.00 102.79 90.00°
Space group C2/m (No. 12)
Unique sites:
Pr  0.0016  0.0000  0.2937
Dy  0.1368  0.5000  0.5707
C  0.0000  0.5000  0.5000
Br  0.0000  0.5000  0.0000
Br  0.1686  0.0000  0.8227
Br  0.1748  0.0000  0.3487

***

Entry 2:
This entry pairs a crystal structure of La4Nd4Se3 with its theoretical powder diffractogram. Radiation: Cu Kα X-rays. Structure: a DFT-relaxed cell (PBE, OQMD).
Peak positions follow from Bragg's law for the DFT cell and can differ from measured ones.

Peak list (6 most intense, 2θ = 10–80°, sorted by position)
2θ 24.66, I 13, hkl 0 1 1
2θ 26.33, I 37, hkl 2 0 4
2θ 30.15, I 19, hkl 0 0 6
2θ 33.37, I 100, hkl 2 1 3
2θ 34.33, I 29, hkl 4 0 0
2θ 60.88, I 16, hkl 6 1 3

Structure:
Cell: 10.4477 3.6872 17.7703 Å, 90.00 90.00 90.00°
Space group Amm2 (No. 38)
Unique sites:
La  0.0000  0.0000  0.0000
La  0.2388  0.0000  0.1525
La  0.5000  0.0000  0.0057
Nd  0.0000  0.0000  0.2964
Nd  0.2655  0.0000  0.8609
Nd  0.5000  0.0000  0.2685
Se  0.0000  0.0000  0.6503
Se  0.2588  0.0000  0.5083

***

Entry 3:
This entry pairs a crystal structure of Rb2Ho4Cu4Te9 with its theoretical powder diffractogram. Radiation: Cu Kα X-rays. Structure: a DFT-relaxed cell (PBE, OQMD).
Peak positions follow from Bragg's law for the DFT cell and can differ from measured ones.

Peak list (6 most intense, 2θ = 10–80°, sorted by position)
2θ 12.13, I 69, hkl 2 0 0
2θ 26.79, I 76, hkl 3 1 -1
2θ 27.23, I 100, hkl 3 1 -2
2θ 27.41, I 57, hkl 3 1 0
2θ 29.05, I 78, hkl 3 1 1
2θ 41.24, I 87, hkl 0 2 0

Structure:
Cell: 15.3757 4.3780 17.6146 Å, 90.00 108.41 90.00°
Space group C2/m (No. 12)
Unique sites:
Rb  0.0347  0.0000  0.2737
Ho  0.1545  0.5000  0.5575
Ho  0.2275  0.0000  0.1001
Cu  0.0791  0.5000  0.9771
Cu  0.2440  0.0000  0.7336
Te  0.0000  0.0000  0.5000
Te  0.1024  0.5000  0.1306
Te  0.1346  0.0000  0.9208
Te  0.1485  0.5000  0.7266
Te  0.2006  0.5000  0.3971

***

Entry 4:
This entry pairs a crystal structure of NaAgOsSe2S with its theoretical powder diffractogram. Radiation: Cu Kα X-rays. Structure: a DFT-relaxed cell (PBE, OQMD).
Peak positions follow from Bragg's law for the DFT cell and can differ from measured ones.

Peak list (6 most intense, 2θ = 10–80°, sorted by position)
2θ 13.08, I 100, hkl 0 2 0
2θ 18.25, I 20, hkl 0 0 2
2θ 30.86, I 28, hkl 1 3 0
2θ 32.24, I 19, hkl 1 3 1
2θ 36.09, I 55, hkl 1 3 2
2θ 36.98, I 31, hkl 0 0 4

Structure:
Cell: 3.7782 13.5419 9.7246 Å, 90.00 90.00 90.00°
Space group Cmcm (No. 63)
Unique sites:
Na  0.0000  0.2470  0.2500
Ag  0.0000  0.0639  0.7500
Os  0.0000  0.5000  0.0000
Se  0.0000  0.1257  0.5082
S  0.0000  0.4327  0.7500

***

Entry 5:
This entry pairs a crystal structure of Sr2Pd2NO5 with its theoretical powder diffractogram. Radiation: Cu Kα X-rays. Structure: a DFT-relaxed cell (PBE, OQMD).
Peak positions follow from Bragg's law for the DFT cell and can differ from measured ones.

Peak list (6 most intense, 2θ = 10–80°, sorted by position)
2θ 30.96, I 53, hkl 1 1 0
2θ 32.03, I 100, hkl 1 0 2
2θ 44.35, I 36, hkl 2 0 0
2θ 55.75, I 42, hkl 2 1 2
2θ 57.75, I 18, hkl 1 1 4
2θ 66.97, I 19, hkl 2 0 4

Structure:
Cell: 4.0846 4.0846 7.6631 Å, 90.00 90.00 90.00°
Space group P4/mmm (No. 123)
Unique sites:
Sr  0.0000  0.0000  0.0000
Sr  0.0000  0.0000  0.5000
Pd  0.5000  0.5000  0.2406
N  0.5000  0.5000  0.0000
O  0.0000  0.5000  0.2634
O  0.5000  0.5000  0.5000

***

Entry 6:
This entry pairs a crystal structure of Cu2Ag7 with its theoretical powder diffractogram. Radiation: Cu Kα X-rays. Structure: a DFT-relaxed cell (PBE, OQMD).
Peak positions follow from Bragg's law for the DFT cell and can differ from measured ones.

Peak list (6 most intense, 2θ = 10–80°, sorted by position)
2θ 38.30, I 100, hkl 1 0 3
2θ 38.48, I 98, hkl 0 3 3
2θ 44.24, I 66, hkl 1 3 0
2θ 45.39, I 29, hkl 0 0 6
2θ 65.25, I 37, hkl 1 3 6
2θ 77.32, I 23, hkl 2 3 3

Structure:
Cell: 2.9052 8.6580 11.9881 Å, 90.00 90.00 90.00°
Space group Immm (No. 71)
Unique sites:
Cu  0.0000  0.1631  0.0000
Ag  0.0000  0.1714  0.3373
Ag  0.0000  0.5000  0.0000
Ag  0.0000  0.5000  0.3438

***

Entry 7:
This entry pairs a crystal structure of LaPrAg2 with its theoretical powder diffractogram. Radiation: Cu Kα X-rays. Structure: a DFT-relaxed cell (PBE, OQMD).
Peak positions follow from Bragg's law for the DFT cell and can differ from measured ones.

Peak list (6 most intense, 2θ = 10–80°, sorted by position)
2θ 26.25, I 37, hkl 1 1 1
2θ 29.83, I 86, hkl 1 2 0
2θ 32.19, I 60, hkl 0 1 2
2θ 33.45, I 95, hkl 1 2 1
2θ 36.51, I 59, hkl 2 0 0
2θ 37.13, I 100, hkl 1 1 2

Structure:
Cell: 4.9220 7.5513 5.9825 Å, 90.00 90.00 90.00°
Space group Pmn2_1 (No. 31)
Unique sites:
La  0.0000  0.0723  0.0000
Pr  0.0000  0.5701  0.7734
Ag  0.0000  0.2149  0.4990
Ag  0.0000  0.7076  0.2724

***

Entry 8:
This entry pairs a crystal structure of ZnCoIrPd with its theoretical powder diffractogram. Radiation: Cu Kα X-rays. Structure: a DFT-relaxed cell (PBE, OQMD).
Peak positions follow from Bragg's law for the DFT cell and can differ from measured ones.

Peak list (6 most intense, 2θ = 10–80°, sorted by position)
2θ 25.40, I 23, hkl 1 1 1
2θ 42.08, I 100, hkl 2 2 0
2θ 49.80, I 12, hkl 3 1 1
2θ 61.03, I 16, hkl 4 0 0
2θ 67.19, I 5, hkl 3 3 1
2θ 76.91, I 33, hkl 4 2 2

Structure:
Cell: 6.0729 6.0729 6.0729 Å, 90.00 90.00 90.00°
Space group F-43m (No. 216)
Unique sites:
Zn  0.0000  0.0000  0.0000
Co  0.2500  0.2500  0.2500
Ir  0.2500  0.2500  0.7500
Pd  0.0000  0.0000  0.5000

***

Entry 9:
This entry pairs a crystal structure of Y3Si2Ni3 with its theoretical powder diffractogram. Radiation: Cu Kα X-rays. Structure: a DFT-relaxed cell (PBE, OQMD).
Peak positions follow from Bragg's law for the DFT cell and can differ from measured ones.

Peak list (6 most intense, 2θ = 10–80°, sorted by position)
2θ 29.12, I 100, hkl 1 1 0
2θ 34.92, I 51, hkl 1 1 2
2θ 38.24, I 35, hkl 0 0 4
2θ 41.65, I 60, hkl 2 0 0
2θ 48.78, I 45, hkl 1 1 4
2θ 57.82, I 40, hkl 2 0 4

Structure:
Cell: 4.3367 4.3367 9.4137 Å, 90.00 90.00 90.00°
Space group P-4m2 (No. 115)
Unique sites:
Y  0.0000  0.0000  0.0000
Y  0.0000  0.0000  0.5000
Y  0.5000  0.5000  0.0000
Si  0.0000  0.5000  0.7744
Ni  0.5000  0.5000  0.2703
Ni  0.5000  0.5000  0.5000

***

Entry 10:
This entry pairs a crystal structure of NdYCu4 with its theoretical powder diffractogram. Radiation: Cu Kα X-rays. Structure: a DFT-relaxed cell (PBE, OQMD).
Peak positions follow from Bragg's law for the DFT cell and can differ from measured ones.

Peak list (6 most intense, 2θ = 10–80°, sorted by position)
2θ 34.44, I 20, hkl 1 1 2
2θ 35.26, I 100, hkl 1 2 1
2θ 42.06, I 23, hkl 2 0 0
2θ 42.20, I 36, hkl 1 0 3
2θ 56.04, I 15, hkl 2 2 2
2θ 68.25, I 12, hkl 1 3 4

Structure:
Cell: 4.2964 6.9928 7.4102 Å, 90.00 90.00 90.00°
Space group Imm2 (No. 44)
Unique sites:
Nd  0.0000  0.0000  0.0000
Y  0.0000  0.5000  0.9252
Cu  0.0000  0.2035  0.6266
Cu  0.0000  0.2953  0.2962

***

Entry 11:
This entry pairs a crystal structure of Lu4Nb2Si3N3 with its theoretical powder diffractogram. Radiation: Cu Kα X-rays. Structure: a DFT-relaxed cell (PBE, OQMD).
Peak positions follow from Bragg's law for the DFT cell and can differ from measured ones.

Peak list (6 most intense, 2θ = 10–80°, sorted by position)
2θ 13.22, I 33, hkl 0 0 2
2θ 26.62, I 27, hkl 0 0 4
2θ 31.35, I 24, hkl 3 1 -1
2θ 32.01, I 35, hkl 3 1 0
2θ 37.34, I 100, hkl 3 1 2
2θ 37.43, I 50, hkl 3 1 -4

Structure:
Cell: 9.8742 5.7260 13.7860 Å, 90.00 103.70 90.00°
Space group C2/c (No. 15)
Unique sites:
Lu  0.1169  0.0818  0.1009
Lu  0.2154  0.0844  0.3990
Nb  0.0562  0.4168  0.9182
Si  0.0000  0.1603  0.7500
Si  0.1284  0.4540  0.2495
N  0.0847  0.2456  0.5000
N  0.2500  0.2500  0.0000

***

Entry 12:
This entry pairs a crystal structure of Re6IrOs with its theoretical powder diffractogram. Radiation: Cu Kα X-rays. Structure: a DFT-relaxed cell (PBE, OQMD).
Peak positions follow from Bragg's law for the DFT cell and can differ from measured ones.

Peak list (6 most intense, 2θ = 10–80°, sorted by position)
2θ 37.45, I 24, hkl 2 0 0
2θ 40.94, I 25, hkl 0 0 2
2θ 42.88, I 100, hkl 2 0 1
2θ 56.68, I 15, hkl 2 0 2
2θ 67.56, I 18, hkl 2 2 0
2θ 75.90, I 19, hkl 2 0 3

Structure:
Cell: 5.5463 5.5463 4.4092 Å, 90.00 90.00 120.00°
Space group P-6m2 (No. 187)
Unique sites:
Re  0.0049  0.5025  0.0000
Re  0.1694  0.3387  0.5000
Ir  0.6667  0.3333  0.5000
Os  0.0000  0.0000  0.0000